Computed X-ray powder pattern of LiAgC2 for copper Kα, from a PBE-relaxed structure.
No peak broadening, texture or thermal motion is included.

Top 8 peaks for 2θ from 10° to 90°, in order of falling intensity:
2θ 26.80, 3.327 Å, rel. 100
2θ 31.66, 2.826 Å, rel. 71
2θ 16.55, 5.356 Å, rel. 45
2θ 43.38, 2.086 Å, rel. 37
2θ 47.33, 1.921 Å, rel. 21
2θ 58.69, 1.573 Å, rel. 18
2θ 50.48, 1.808 Å, rel. 16
2θ 59.20, 1.561 Å, rel. 16

Crystal structure
```
data_LiAgC2
_chemical_formula_sum 'Li1 Ag1 C2'
_cell_length_a 3.842
_cell_length_b 3.842
_cell_length_c 5.356
_cell_angle_alpha 90.00
_cell_angle_beta 90.00
_cell_angle_gamma 120.00
_symmetry_space_group_name_H-M 'P 1'
_symmetry_Int_Tables_number 1
loop_
_symmetry_equiv_pos_as_xyz
'x,y,z'
loop_
_atom_site_label
_atom_site_fract_x
_atom_site_fract_y
_atom_site_fract_z
Li1 0.000 0.000 0.000
Ag1 0.667 0.333 0.500
C1 0.667 0.333 0.117
C2 0.667 0.333 0.883
```

Computed X-ray powder pattern of Co11C2N10 for copper Kα, from a PBE-relaxed structure.
No peak broadening, texture or thermal motion is included.

Top 8 peaks for 2θ from 10° to 90°, in order of falling intensity:
2θ 41.50, 2.176 Å, rel. 100
2θ 37.00, 2.430 Å, rel. 88
2θ 41.22, 2.190 Å, rel. 60
2θ 14.30, 6.195 Å, rel. 58
2θ 44.74, 2.026 Å, rel. 49
2θ 16.00, 5.541 Å, rel. 49
2θ 38.03, 2.366 Å, rel. 44
2θ 46.35, 1.959 Å, rel. 32

Crystal structure
```
data_Co11C2N10
_chemical_formula_sum 'Co22 C4 N20'
_cell_length_a 12.390
_cell_length_b 12.390
_cell_length_c 2.812
_cell_angle_alpha 90.00
_cell_angle_beta 90.00
_cell_angle_gamma 90.00
_symmetry_space_group_name_H-M 'P 1'
_symmetry_Int_Tables_number 1
loop_
_symmetry_equiv_pos_as_xyz
'x,y,z'
loop_
_atom_site_label
_atom_site_fract_x
_atom_site_fract_y
_atom_site_fract_z
Co1 0.000 0.000 0.000
Co2 0.002 0.224 0.500
Co3 0.078 0.595 0.500
Co4 0.095 0.422 0.000
Co5 0.157 0.843 0.000
Co6 0.224 0.002 0.500
Co7 0.276 0.502 0.000
Co8 0.343 0.343 0.500
Co9 0.405 0.922 0.500
Co10 0.422 0.095 0.000
Co11 0.498 0.724 0.000
Co12 0.500 0.500 0.500
Co13 0.502 0.276 0.000
Co14 0.578 0.905 0.000
Co15 0.595 0.078 0.500
Co16 0.657 0.657 0.500
Co17 0.724 0.498 0.000
Co18 0.776 0.998 0.500
Co19 0.843 0.157 0.000
Co20 0.905 0.578 0.000
Co21 0.922 0.405 0.500
Co22 0.998 0.776 0.500
C1 0.194 0.194 0.000
C2 0.306 0.694 0.500
C3 0.694 0.306 0.500
C4 0.806 0.806 0.000
N1 0.018 0.678 0.000
N2 0.088 0.912 0.500
N3 0.122 0.122 0.000
N4 0.178 0.482 0.500
N5 0.237 0.763 0.500
N6 0.263 0.263 0.000
N7 0.322 0.982 0.000
N8 0.378 0.622 0.500
N9 0.412 0.412 0.000
N10 0.482 0.178 0.500
N11 0.518 0.822 0.500
N12 0.588 0.588 0.000
N13 0.622 0.378 0.500
N14 0.678 0.018 0.000
N15 0.737 0.737 0.000
N16 0.763 0.237 0.500
N17 0.822 0.518 0.500
N18 0.878 0.878 0.000
N19 0.912 0.088 0.500
N20 0.982 0.322 0.000
```

Computed X-ray powder pattern of ZrMoP for copper Kα, from a PBE-relaxed structure.
No peak broadening, texture or thermal motion is included.

Top 8 peaks for 2θ from 10° to 90°, in order of falling intensity:
2θ 36.62, 2.454 Å, rel. 100
2θ 39.51, 2.281 Å, rel. 60
2θ 39.65, 2.273 Å, rel. 52
2θ 68.07, 1.377 Å, rel. 23
2θ 73.72, 1.285 Å, rel. 22
2θ 45.07, 2.011 Å, rel. 19
2θ 61.57, 1.506 Å, rel. 18
2θ 52.98, 1.728 Å, rel. 16

Crystal structure
```
data_ZrMoP
_chemical_formula_sum 'Zr3 Mo3 P3'
_cell_length_a 6.968
_cell_length_b 6.968
_cell_length_c 3.456
_cell_angle_alpha 90.00
_cell_angle_beta 90.00
_cell_angle_gamma 120.00
_symmetry_space_group_name_H-M 'P 1'
_symmetry_Int_Tables_number 1
loop_
_symmetry_equiv_pos_as_xyz
'x,y,z'
loop_
_atom_site_label
_atom_site_fract_x
_atom_site_fract_y
_atom_site_fract_z
Zr1 0.000 0.596 0.000
Zr2 0.404 0.404 0.000
Zr3 0.596 0.000 0.000
Mo1 0.000 0.251 0.500
Mo2 0.251 0.000 0.500
Mo3 0.749 0.749 0.500
P1 0.000 0.000 0.000
P2 0.333 0.667 0.500
P3 0.667 0.333 0.500
```

> Which formula does entry 1 have?

LiAgC2